Starting from DFT lattice parameters and positions (PBE), the powder diffractogram of LaHoBr was calculated for a wavelength of 1.5418 Å.
Neutral-atom scattering factors, no anomalous dispersion.

Cell and atoms:
```
LaHoBr
1.0
3.7629 0.0000 0.0000
-1.8814 3.2588 0.0000
0.0000 0.0000 7.6343
La Ho Br
1 1 1
Direct
0.0000 0.0000 0.0000
0.6667 0.3333 0.3680
0.3333 0.6667 0.6576
```

Peak list (10 most intense, 10° ≤ 2θ ≤ 80°, sorted by position)
| two_theta | d [Å] | intensity |
| --- | --- | --- |
| 29.8 | 2.997 | 100 |
| 35.3 | 2.545 | 18 |
| 36.2 | 2.478 | 54 |
| 48.4 | 1.881 | 25 |
| 55.8 | 1.647 | 17 |
| 57.9 | 1.593 | 15 |
| 61.3 | 1.513 | 21 |
| 61.9 | 1.499 | 11 |
| 67.8 | 1.383 | 7 |
| 78.7 | 1.216 | 12 |

Starting from DFT lattice parameters and positions (PBE), the powder diffractogram of LiHoBr4 was calculated for a wavelength of 1.5418 Å.
Neutral-atom scattering factors, no anomalous dispersion.

Cell and atoms:
```
LiHoBr4
1.0
6.9789 0.0000 0.0000
0.0000 4.0830 0.0000
-0.5764 0.0000 6.9757
Li Ho Br
1 1 4
Direct
0.0000 0.0000 0.0000
0.0000 0.5000 0.5000
0.2093 0.5000 0.1833
0.2336 0.0000 0.6755
0.7664 0.0000 0.3245
0.7907 0.5000 0.8167
```

Peak list (10 most intense, 10° ≤ 2θ ≤ 80°, sorted by position)
| two_theta | d [Å] | intensity |
| --- | --- | --- |
| 12.7 | 6.962 | 100 |
| 17.2 | 5.142 | 14 |
| 25.3 | 3.521 | 18 |
| 27.7 | 3.226 | 32 |
| 28.9 | 3.092 | 71 |
| 34.9 | 2.571 | 22 |
| 37.1 | 2.426 | 35 |
| 44.4 | 2.042 | 14 |
| 44.9 | 2.021 | 26 |
| 45.9 | 1.976 | 34 |

Starting from DFT lattice parameters and positions (PBE), the powder diffractogram of Na2LiHoBr6 was calculated for a wavelength of 1.5418 Å.
Neutral-atom scattering factors, no anomalous dispersion.

Cell and atoms:
```
Na2LiHoBr6
1.0
3.6538 2.1095 6.4838
-3.6538 2.1095 6.4838
0.0000 -4.2190 6.4838
Na Li Ho Br
2 1 1 6
Direct
0.0000 0.0000 0.0000
0.4940 0.4940 0.4940
0.2065 0.2065 0.2065
0.6936 0.6936 0.6936
0.0658 0.4315 0.8165
0.3153 0.9241 0.5737
0.4315 0.8165 0.0658
0.5737 0.3153 0.9241
0.8165 0.0658 0.4315
0.9241 0.5737 0.3153
```

Peak list (10 most intense, 10° ≤ 2θ ≤ 80°, sorted by position)
| two_theta | d [Å] | intensity |
| --- | --- | --- |
| 13.7 | 6.484 | 12 |
| 14.7 | 6.018 | 32 |
| 16.7 | 5.304 | 37 |
| 28.0 | 3.183 | 100 |
| 33.8 | 2.652 | 19 |
| 37.1 | 2.425 | 46 |
| 37.9 | 2.374 | 12 |
| 42.9 | 2.109 | 32 |
| 49.0 | 1.860 | 25 |
| 52.0 | 1.758 | 13 |

Starting from DFT lattice parameters and positions (PBE), the powder diffractogram of RbLiHoBr5 was calculated for a wavelength of 1.5418 Å.
Neutral-atom scattering factors, no anomalous dispersion.

Cell and atoms:
```
RbLiHoBr5
1.0
4.7256 -6.4061 0.0000
4.7256 6.4061 0.0000
-4.2228 0.0000 9.7482
Rb Li Ho Br
2 2 2 10
Direct
0.1557 0.8443 0.7500
0.8443 0.1557 0.2500
0.1921 0.8079 0.2500
0.8079 0.1921 0.7500
0.5000 0.5000 0.0000
0.5000 0.5000 0.5000
0.1303 0.2614 0.9242
0.1977 0.5963 0.3971
0.2614 0.1303 0.4242
0.4037 0.8023 0.1029
0.4270 0.5730 0.7500
0.5730 0.4270 0.2500
0.5963 0.1977 0.8971
0.7386 0.8697 0.5758
0.8023 0.4037 0.6029
0.8697 0.7386 0.0758
```

Peak list (10 most intense, 10° ≤ 2θ ≤ 80°, sorted by position)
| two_theta | d [Å] | intensity |
| --- | --- | --- |
| 12.3 | 7.182 | 100 |
| 13.8 | 6.406 | 30 |
| 18.3 | 4.841 | 95 |
| 20.5 | 4.336 | 33 |
| 26.1 | 3.412 | 47 |
| 26.4 | 3.370 | 50 |
| 29.4 | 3.042 | 80 |
| 31.7 | 2.820 | 30 |
| 34.8 | 2.580 | 30 |
| 43.5 | 2.083 | 38 |

Starting from DFT lattice parameters and positions (PBE), the powder diffractogram of HoMgBr4 was calculated for a wavelength of 1.5418 Å.
Neutral-atom scattering factors, no anomalous dispersion.

Cell and atoms:
```
HoMgBr4
1.0
7.2591 0.0000 0.0000
0.0000 3.7433 0.0000
-2.0419 0.0000 7.3011
Ho Mg Br
1 1 4
Direct
0.0000 0.0000 0.0000
0.5000 0.5000 0.0000
0.2662 0.5000 0.2278
0.2770 0.0000 0.7925
0.7230 0.0000 0.2075
0.7338 0.5000 0.7722
```

Peak list (10 most intense, 10° ≤ 2θ ≤ 80°, sorted by position)
| two_theta | d [Å] | intensity |
| --- | --- | --- |
| 12.1 | 7.301 | 100 |
| 15.0 | 5.906 | 16 |
| 27.0 | 3.300 | 15 |
| 30.3 | 2.953 | 44 |
| 31.1 | 2.873 | 85 |
| 39.0 | 2.308 | 30 |
| 40.2 | 2.241 | 17 |
| 43.3 | 2.090 | 28 |
| 44.6 | 2.030 | 30 |
| 58.4 | 1.581 | 13 |

Starting from DFT lattice parameters and positions (PBE), the powder diffractogram of NdHoBr6 was calculated for a wavelength of 1.5418 Å.
Neutral-atom scattering factors, no anomalous dispersion.

Cell and atoms:
```
NdHoBr6
1.0
3.5397 -6.6757 0.0000
3.5397 6.6757 0.0000
-2.0531 0.0000 6.7649
Nd Ho Br
1 1 6
Direct
0.0000 0.0000 0.0000
0.5000 0.5000 0.5000
0.1146 0.4049 0.2585
0.2536 0.2536 0.7447
0.4049 0.1146 0.2585
0.5951 0.8854 0.7415
0.7464 0.7464 0.2553
0.8854 0.5951 0.7415
```

Peak list (10 most intense, 10° ≤ 2θ ≤ 80°, sorted by position)
| two_theta | d [Å] | intensity |
| --- | --- | --- |
| 13.3 | 6.676 | 82 |
| 17.0 | 5.229 | 74 |
| 22.1 | 4.018 | 24 |
| 29.2 | 3.060 | 100 |
| 31.5 | 2.841 | 44 |
| 37.9 | 2.377 | 31 |
| 40.0 | 2.256 | 19 |
| 42.9 | 2.107 | 18 |
| 43.5 | 2.082 | 66 |
| 51.7 | 1.767 | 18 |

Starting from DFT lattice parameters and positions (PBE), the powder diffractogram of HoPS4Br was calculated for a wavelength of 1.5418 Å.
Neutral-atom scattering factors, no anomalous dispersion.

Cell and atoms:
```
HoPS4Br
1.0
5.3128 -4.3637 0.0000
5.3128 4.3637 0.0000
-1.2067 0.0000 8.7554
Ho P S Br
2 2 8 2
Direct
0.1940 0.1940 0.0599
0.8060 0.8060 0.9401
0.3919 0.3919 0.7608
0.6081 0.6081 0.2392
0.1538 0.5104 0.8925
0.3086 0.3086 0.5440
0.4237 0.4237 0.2754
0.4896 0.8462 0.1075
0.5104 0.1538 0.8925
0.5763 0.5763 0.7246
0.6914 0.6914 0.4560
0.8462 0.4896 0.1075
0.0185 0.0185 0.7884
0.9815 0.9815 0.2116
```

Peak list (10 most intense, 10° ≤ 2θ ≤ 80°, sorted by position)
| two_theta | d [Å] | intensity |
| --- | --- | --- |
| 10.1 | 8.755 | 100 |
| 15.9 | 5.570 | 17 |
| 20.4 | 4.364 | 56 |
| 20.8 | 4.261 | 16 |
| 28.0 | 3.186 | 15 |
| 28.2 | 3.160 | 30 |
| 32.1 | 2.786 | 33 |
| 35.1 | 2.559 | 16 |
| 37.4 | 2.402 | 11 |
| 38.7 | 2.324 | 13 |

Starting from DFT lattice parameters and positions (PBE), the powder diffractogram of HoPbBr5 was calculated for a wavelength of 1.5418 Å.
Neutral-atom scattering factors, no anomalous dispersion.

Cell and atoms:
```
HoPbBr5
1.0
5.4130 -5.2960 0.0000
5.4130 5.2960 0.0000
-4.8998 0.0000 9.8075
Ho Pb Br
2 2 10
Direct
0.0000 0.5000 0.0000
0.5000 0.0000 0.5000
0.0807 0.9193 0.7500
0.9193 0.0807 0.2500
0.1917 0.6124 0.8557
0.2235 0.2406 0.5242
0.2346 0.7654 0.2500
0.2406 0.2235 0.0242
0.3876 0.8083 0.6443
0.6124 0.1917 0.3557
0.7594 0.7765 0.9758
0.7654 0.2346 0.7500
0.7765 0.7594 0.4758
0.8083 0.3876 0.1443
```

Peak list (10 most intense, 10° ≤ 2θ ≤ 80°, sorted by position)
| two_theta | d [Å] | intensity |
| --- | --- | --- |
| 12.4 | 7.147 | 56 |
| 17.6 | 5.039 | 100 |
| 19.2 | 4.633 | 77 |
| 26.7 | 3.333 | 36 |
| 27.0 | 3.299 | 62 |
| 31.2 | 2.864 | 69 |
| 38.7 | 2.326 | 52 |
| 38.9 | 2.316 | 27 |
| 41.9 | 2.158 | 30 |
| 50.3 | 1.814 | 29 |

Starting from DFT lattice parameters and positions (PBE), the powder diffractogram of HoPuBr6 was calculated for a wavelength of 1.5418 Å.
Neutral-atom scattering factors, no anomalous dispersion.

Cell and atoms:
```
HoPuBr6
1.0
3.5356 -6.5966 0.0000
3.5356 6.5966 0.0000
-2.0431 0.0000 6.7495
Ho Pu Br
1 1 6
Direct
0.0000 0.0000 0.0000
0.5000 0.5000 0.5000
0.0961 0.3866 0.2443
0.2483 0.2483 0.7554
0.3866 0.0961 0.2443
0.6134 0.9039 0.7557
0.7517 0.7517 0.2446
0.9039 0.6134 0.7557
```

Peak list (10 most intense, 10° ≤ 2θ ≤ 80°, sorted by position)
| two_theta | d [Å] | intensity |
| --- | --- | --- |
| 13.4 | 6.597 | 96 |
| 17.0 | 5.210 | 92 |
| 22.2 | 4.009 | 34 |
| 29.4 | 3.040 | 100 |
| 29.7 | 3.008 | 26 |
| 31.6 | 2.835 | 44 |
| 38.1 | 2.360 | 36 |
| 40.3 | 2.236 | 21 |
| 43.6 | 2.076 | 34 |
| 43.7 | 2.071 | 34 |

Starting from DFT lattice parameters and positions (PBE), the powder diffractogram of Rb4HoBr7 was calculated for a wavelength of 1.5418 Å.
Neutral-atom scattering factors, no anomalous dispersion.

Cell and atoms:
```
Rb4HoBr7
1.0
8.6927 -2.8048 0.0000
8.6927 2.8048 0.0000
-3.0011 0.0000 11.2535
Rb Ho Br
4 1 7
Direct
0.0127 0.0127 0.2034
0.2535 0.2535 0.8242
0.7465 0.7465 0.1758
0.9873 0.9873 0.7966
0.5000 0.5000 0.5000
0.0000 0.0000 0.5000
0.1456 0.1456 0.0385
0.3849 0.3849 0.2841
0.3869 0.3869 0.6311
0.6131 0.6131 0.3689
0.6151 0.6151 0.7159
0.8544 0.8544 0.9615
```

Peak list (10 most intense, 10° ≤ 2θ ≤ 80°, sorted by position)
| two_theta | d [Å] | intensity |
| --- | --- | --- |
| 10.5 | 8.399 | 54 |
| 11.4 | 7.757 | 70 |
| 14.7 | 6.028 | 59 |
| 17.8 | 4.970 | 36 |
| 19.0 | 4.665 | 86 |
| 27.5 | 3.244 | 79 |
| 29.8 | 2.993 | 84 |
| 31.6 | 2.832 | 46 |
| 31.9 | 2.806 | 100 |
| 42.6 | 2.122 | 47 |

Starting from DFT lattice parameters and positions (PBE), the powder diffractogram of Rb5HoBr8 was calculated for a wavelength of 1.5418 Å.
Neutral-atom scattering factors, no anomalous dispersion.

Cell and atoms:
```
Rb5HoBr8
1.0
-5.0237 5.0237 5.0933
5.0237 -5.0237 5.0933
5.0237 5.0237 -5.0933
Rb Ho Br
5 1 8
Direct
0.0000 0.0000 0.0000
0.1036 0.4839 0.8683
0.5161 0.3844 0.6197
0.6156 0.2353 0.1317
0.7647 0.8964 0.3803
0.2500 0.7500 0.5000
0.0450 0.3131 0.3997
0.2466 0.0824 0.7030
0.3548 0.9550 0.2682
0.3794 0.5436 0.2970
0.4564 0.7534 0.8358
0.6869 0.0866 0.7318
0.9134 0.6452 0.6003
0.9176 0.6206 0.1642
```

Peak list (10 most intense, 10° ≤ 2θ ≤ 80°, sorted by position)
| two_theta | d [Å] | intensity |
| --- | --- | --- |
| 12.4 | 7.131 | 45 |
| 27.7 | 3.217 | 48 |
| 28.1 | 3.179 | 100 |
| 33.1 | 2.709 | 52 |
| 33.2 | 2.696 | 34 |
| 33.3 | 2.688 | 23 |
| 40.1 | 2.247 | 16 |
| 44.1 | 2.056 | 17 |
| 45.8 | 1.980 | 16 |
| 56.4 | 1.631 | 21 |

Starting from DFT lattice parameters and positions (PBE), the powder diffractogram of RbHoSnBr6 was calculated for a wavelength of 1.5418 Å.
Neutral-atom scattering factors, no anomalous dispersion.

Cell and atoms:
```
RbHoSnBr6
1.0
7.5840 0.0000 0.0000
-3.7920 6.5679 0.0000
0.0000 0.0000 7.5357
Rb Ho Sn Br
1 1 1 6
Direct
0.0000 0.0000 0.0000
0.6667 0.3333 0.5000
0.3333 0.6667 0.5000
0.3801 0.0197 0.7168
0.3801 0.3604 0.2832
0.6396 0.0197 0.2832
0.6396 0.6199 0.7168
0.9803 0.3604 0.7168
0.9803 0.6199 0.2832
```

Peak list (10 most intense, 10° ≤ 2θ ≤ 80°, sorted by position)
| two_theta | d [Å] | intensity |
| --- | --- | --- |
| 11.7 | 7.536 | 49 |
| 13.5 | 6.568 | 23 |
| 17.9 | 4.951 | 78 |
| 26.3 | 3.387 | 91 |
| 33.5 | 2.673 | 100 |
| 38.2 | 2.358 | 31 |
| 41.2 | 2.189 | 46 |
| 43.2 | 2.094 | 29 |
| 54.2 | 1.694 | 21 |
| 70.3 | 1.340 | 17 |